Structure and simulated powder diffraction line list of SrCr2GeO6 (a PBE+U-relaxed structure; λ = 1.5418 Å (Cu Kα)).
No peak broadening, texture or thermal motion is included.

Largest 12 diffraction maxima, low angle first, 2θ from 10° to 80°:
23.11 deg, intensity 31
31.95 deg, intensity 100
33.86 deg, intensity 96
37.34 deg, intensity 14
39.02 deg, intensity 18
47.24 deg, intensity 44
51.29 deg, intensity 11
51.93 deg, intensity 30
59.38 deg, intensity 36
60.58 deg, intensity 31
69.54 deg, intensity 20
71.24 deg, intensity 14

Structural model:
Unit cell a=5.620 b=5.620 c=5.620 alpha=56.20 beta=56.20 gamma=56.20
Positions (direct):
Sr (0.000, 0.000, 0.000)
Cr (0.262, 0.262, 0.262)
Cr (0.772, 0.772, 0.772)
Ge (0.462, 0.462, 0.462)
O (0.063, 0.587, 0.453)
O (0.185, 0.520, 0.858)
O (0.453, 0.063, 0.587)
O (0.520, 0.858, 0.185)
O (0.587, 0.453, 0.063)
O (0.858, 0.185, 0.520)